Starting from a DFT-relaxed cell (GGA-PBE, the Materials Project), the PXRD pattern of Tb2CuGe4 was calculated for copper Kα.
Kinematic intensities with the Lorentz-polarization factor, no thermal factor.

Peak list (6 most intense, 2θ = 5–70°, in order of rising 2θ)
- 34.45 deg, d 2.603, intensity 28.0
- 35.02 deg, d 2.562, intensity 100.0
- 38.92 deg, d 2.314, intensity 22.4
- 44.40 deg, d 2.041, intensity 20.7
- 44.67 deg, d 2.028, intensity 20.4
- 64.81 deg, d 1.438, intensity 15.0

Structure:
a = 4.0568 Å, b = 4.0810 Å, c = 16.9018 Å
α = 90.00°, β = 90.00°, γ = 90.00°
Fractional positions:
Tb1 0.0000 0.0000 0.0000
Tb2 0.0000 0.5000 0.5000
Tb3 0.5000 0.0000 0.2110
Tb4 0.5000 0.5000 0.7110
Cu1 0.0000 0.0000 0.7841
Cu2 0.0000 0.5000 0.2841
Ge1 0.0000 0.0000 0.3661
Ge2 0.0000 0.0000 0.6454
Ge3 0.0000 0.5000 0.1454
Ge4 0.0000 0.5000 0.8661
Ge5 0.5000 0.0000 0.5558
Ge6 0.5000 0.0000 0.8646
Ge7 0.5000 0.5000 0.0558
Ge8 0.5000 0.5000 0.3646